Entry 1:
For Sr3AgP2Pd9, the GGA-PBE geometry in Alexandria gives the simulated XRD peak list in this record (Cu Kα (weighted mean of Kα1 and Kα2)).

Main lines, low angle first (15° ≤ 2θ ≤ 90°):
2θ (°), Rel. int.
18.73, 20
31.65, 92
35.80, 24
37.98, 100
51.92, 35
57.57, 28
62.10, 10
64.68, 19
66.11, 16
88.76, 14

Atomic structure:
Cell lengths 7.0441, 7.0441, 7.5239 Å; angles 90.00, 90.00, 120.00 degrees
Element x y z (fractional)
Sr 0.0000 0.0000 0.0000
Sr 0.3333 0.6667 0.6702
Sr 0.6667 0.3333 0.3298
Ag 0.0000 0.0000 0.5000
P 0.3333 0.6667 0.1391
P 0.6667 0.3333 0.8609
Pd 0.0000 0.5000 0.0000
Pd 0.1874 0.3749 0.3261
Pd 0.1874 0.8126 0.3261
Pd 0.3749 0.1874 0.6739
Pd 0.5000 0.0000 0.0000
Pd 0.5000 0.5000 0.0000
Pd 0.6251 0.8126 0.3261
Pd 0.8126 0.1874 0.6739
Pd 0.8126 0.6251 0.6739

---

Entry 2:
For AgPPt3, the GGA-PBE geometry in Alexandria gives the simulated XRD peak list in this record (Cu Kα (weighted mean of Kα1 and Kα2)).

Main lines, low angle first (15° ≤ 2θ ≤ 90°):
2θ (°), Rel. int.
17.82, 18
31.90, 62
35.05, 34
36.10, 100
41.08, 31
41.75, 41
43.81, 35
45.13, 69
62.69, 26
72.46, 23

Atomic structure:
Cell lengths 5.9321, 5.9321, 5.8524 Å; angles 104.42, 104.42, 57.95 degrees
Element x y z (fractional)
Ag 0.0410 0.0410 0.2824
Ag 0.9590 0.9590 0.7176
P 0.3364 0.3364 0.9959
P 0.6636 0.6636 0.0041
Pt 0.0472 0.5369 0.2871
Pt 0.4572 0.4572 0.7121
Pt 0.4631 0.9528 0.7129
Pt 0.5369 0.0472 0.2871
Pt 0.5428 0.5428 0.2879
Pt 0.9528 0.4631 0.7129

---

Entry 3:
For SmAgP2Pt7, the GGA-PBE geometry in Alexandria gives the simulated XRD peak list in this record (Cu Kα (weighted mean of Kα1 and Kα2)).

Main lines, low angle first (15° ≤ 2θ ≤ 90°):
2θ (°), Rel. int.
22.26, 11
23.88, 19
26.84, 16
33.74, 14
36.50, 100
44.33, 17
44.98, 40
59.46, 11
65.50, 13
77.38, 23

Atomic structure:
Cell lengths 14.9303, 14.9303, 14.9303 Å; angles 164.49, 164.49, 22.01 degrees
Element x y z (fractional)
Sm 0.0000 0.0000 0.0000
Ag 0.7500 0.2500 0.5000
P 0.3807 0.3807 0.0000
P 0.6193 0.6193 0.0000
Pt 0.0763 0.5763 0.5000
Pt 0.3076 0.3076 0.0000
Pt 0.4237 0.9237 0.5000
Pt 0.5000 0.5000 0.0000
Pt 0.5766 0.0766 0.5000
Pt 0.6924 0.6924 0.0000
Pt 0.9234 0.4234 0.5000

---

Entry 4:
For RbAg4P12, the GGA-PBE geometry in Alexandria gives the simulated XRD peak list in this record (Cu Kα (weighted mean of Kα1 and Kα2)).

Main lines, low angle first (15° ≤ 2θ ≤ 90°):
2θ (°), Rel. int.
20.36, 23
28.94, 100
32.45, 28
35.64, 18
38.61, 14
46.55, 43
51.30, 40
53.55, 18
67.94, 17
82.78, 19

Atomic structure:
Cell lengths 7.5565, 7.5565, 7.5565 Å; angles 109.47, 109.47, 109.47 degrees
Element x y z (fractional)
Rb 0.0000 0.0000 0.0000
Ag 0.0000 0.0000 0.5000
Ag 0.0000 0.5000 0.0000
Ag 0.5000 0.0000 0.0000
Ag 0.5000 0.5000 0.5000
P 0.1267 0.5005 0.3738
P 0.1267 0.7529 0.6262
P 0.2471 0.3738 0.8733
P 0.3738 0.1267 0.5005
P 0.3738 0.8733 0.2471
P 0.5005 0.3738 0.1267
P 0.4995 0.6262 0.8733
P 0.6262 0.1267 0.7529
P 0.6262 0.8733 0.4995
P 0.7529 0.6262 0.1267
P 0.8733 0.2471 0.3738
P 0.8733 0.4995 0.6262

---

Entry 5:
For RbAgPSe4, the GGA-PBE geometry in Alexandria gives the simulated XRD peak list in this record (Cu Kα (weighted mean of Kα1 and Kα2)).

Main lines, low angle first (15° ≤ 2θ ≤ 90°):
2θ (°), Rel. int.
16.03, 47
24.99, 45
26.27, 33
28.28, 72
29.37, 83
32.38, 100
33.41, 37
37.13, 34
37.42, 34
43.58, 46

Atomic structure:
Cell lengths 6.9788, 6.7838, 9.7807 Å; angles 90.00, 102.52, 90.00 degrees
Element x y z (fractional)
Rb 0.2129 0.2500 0.0211
Rb 0.7871 0.7500 0.9789
Ag 0.1622 0.2500 0.5523
Ag 0.8378 0.7500 0.4477
P 0.2396 0.7500 0.2961
P 0.7604 0.2500 0.7039
Se 0.0307 0.0005 0.3074
Se 0.0307 0.4995 0.3074
Se 0.3349 0.7500 0.0982
Se 0.4814 0.7500 0.4904
Se 0.5186 0.2500 0.5096
Se 0.6651 0.2500 0.9018
Se 0.9693 0.9995 0.6926
Se 0.9693 0.5005 0.6926

---

Entry 6:
For Re2AgP, the GGA-PBE geometry in Alexandria gives the simulated XRD peak list in this record (Cu Kα (weighted mean of Kα1 and Kα2)).

Main lines, low angle first (15° ≤ 2θ ≤ 90°):
2θ (°), Rel. int.
15.39, 76
28.19, 17
39.02, 100
39.30, 87
42.18, 26
44.26, 62
48.01, 28
50.70, 16
67.34, 35
77.74, 24

Atomic structure:
Cell lengths 2.9101, 3.7903, 5.7572 Å; angles 90.00, 90.00, 90.00 degrees
Element x y z (fractional)
Re 0.0000 0.0000 0.0000
Re 0.5000 0.5000 0.1963
Ag 0.0000 0.0000 0.4919
P 0.5000 0.5000 0.7868

---

Entry 7:
For ReAgP, the GGA-PBE geometry in Alexandria gives the simulated XRD peak list in this record (Cu Kα (weighted mean of Kα1 and Kα2)).

Main lines, low angle first (15° ≤ 2θ ≤ 90°):
2θ (°), Rel. int.
23.50, 73
24.44, 17
36.27, 100
37.50, 30
39.35, 37
41.60, 53
42.33, 33
43.94, 26
45.66, 30
47.44, 35

Atomic structure:
Cell lengths 4.3813, 4.3813, 9.3083 Å; angles 112.00, 112.00, 39.27 degrees
Element x y z (fractional)
Re 0.0000 0.0000 0.0000
Re 0.5989 0.5989 0.7861
Ag 0.0154 0.0154 0.4923
Ag 0.6380 0.6380 0.2901
P 0.2889 0.2889 0.0207
P 0.8551 0.8551 0.7205

---

Entry 8:
For Ag2PRh, the GGA-PBE geometry in Alexandria gives the simulated XRD peak list in this record (Cu Kα (weighted mean of Kα1 and Kα2)).

Main lines, low angle first (15° ≤ 2θ ≤ 90°):
2θ (°), Rel. int.
31.60, 17
37.35, 100
38.88, 15
42.57, 16
45.00, 51
59.01, 12
61.78, 22
72.83, 10
74.47, 12
77.92, 15

Atomic structure:
Cell lengths 8.6693, 8.6693, 8.6693 Å; angles 19.95, 19.95, 19.95 degrees
Element x y z (fractional)
Ag 0.0000 0.0000 0.0000
Ag 0.2410 0.2410 0.2410
P 0.4844 0.4844 0.4844
Rh 0.7586 0.7586 0.7586

---

Entry 9:
For SrAgPRu, the GGA-PBE geometry in Alexandria gives the simulated XRD peak list in this record (Cu Kα (weighted mean of Kα1 and Kα2)).

Main lines, low angle first (15° ≤ 2θ ≤ 90°):
2θ (°), Rel. int.
16.11, 37
23.53, 15
32.54, 29
33.03, 18
35.50, 100
45.03, 32
45.86, 13
56.65, 22
59.99, 24
76.85, 20

Atomic structure:
Cell lengths 4.0264, 4.0264, 11.0064 Å; angles 90.00, 90.00, 90.00 degrees
Element x y z (fractional)
Sr 0.2500 0.2500 0.2474
Sr 0.7500 0.7500 0.7526
Ag 0.2500 0.7500 0.5000
Ag 0.7500 0.2500 0.5000
P 0.2500 0.2500 0.8918
P 0.7500 0.7500 0.1082
Ru 0.2500 0.7500 0.0000
Ru 0.7500 0.2500 0.0000

---

Entry 10:
For AgPS2, the GGA-PBE geometry in Alexandria gives the simulated XRD peak list in this record (Cu Kα (weighted mean of Kα1 and Kα2)).

Main lines, low angle first (15° ≤ 2θ ≤ 90°):
2θ (°), Rel. int.
21.64, 49
25.55, 57
26.86, 62
27.90, 100
29.51, 61
31.86, 46
32.64, 37
33.70, 47
35.41, 37
36.51, 32

Atomic structure:
Cell lengths 4.1295, 6.1370, 6.9680 Å; angles 81.05, 84.87, 86.18 degrees
Element x y z (fractional)
Ag 0.0000 0.0000 0.0000
Ag 0.1430 0.9788 0.4995
P 0.4767 0.4622 0.6456
P 0.5318 0.4761 0.3165
S 0.0219 0.6089 0.7091
S 0.4975 0.1311 0.7524
S 0.5104 0.8056 0.2092
S 0.9977 0.3284 0.2578

---

Entry 11:
For Ag2PS4, the GGA-PBE geometry in Alexandria gives the simulated XRD peak list in this record (Cu Kα (weighted mean of Kα1 and Kα2)).

Main lines, low angle first (15° ≤ 2θ ≤ 90°):
2θ (°), Rel. int.
15.53, 100
19.51, 37
25.04, 46
31.94, 34
37.21, 20
39.62, 21
42.35, 34
42.80, 24
47.44, 20
56.20, 15

Atomic structure:
Cell lengths 9.0993, 9.0993, 11.4082 Å; angles 90.00, 90.00, 90.00 degrees
Element x y z (fractional)
Ag 0.0025 0.0025 0.2500
Ag 0.0025 0.4975 0.7500
Ag 0.4975 0.0025 0.7500
Ag 0.4975 0.4975 0.2500
Ag 0.5025 0.5025 0.7500
Ag 0.5025 0.9975 0.2500
Ag 0.9975 0.5025 0.2500
Ag 0.9975 0.9975 0.7500
P 0.2500 0.7500 0.2500
P 0.2500 0.7500 0.7500
P 0.7500 0.2500 0.2500
P 0.7500 0.2500 0.7500
S 0.0576 0.7486 0.6546
S 0.0576 0.7514 0.3454
S 0.2486 0.5576 0.1546
S 0.2486 0.9424 0.8454
S 0.2514 0.5576 0.8454
S 0.2514 0.9424 0.1546
S 0.4424 0.7486 0.3454
S 0.4424 0.7514 0.6546
S 0.5576 0.2486 0.3454
S 0.5576 0.2514 0.6546
S 0.7486 0.0576 0.8454
S 0.7486 0.4424 0.1546
S 0.7514 0.0576 0.1546
S 0.7514 0.4424 0.8454
S 0.9424 0.2486 0.6546
S 0.9424 0.2514 0.3454

---

Entry 12:
For SrAg2P2S7, the GGA-PBE geometry in Alexandria gives the simulated XRD peak list in this record (Cu Kα (weighted mean of Kα1 and Kα2)).

Main lines, low angle first (15° ≤ 2θ ≤ 90°):
2θ (°), Rel. int.
18.48, 61
19.98, 100
27.34, 67
29.42, 33
34.09, 46
37.47, 22
44.24, 32
47.00, 27
48.33, 32
62.71, 24

Atomic structure:
Cell lengths 10.3135, 10.3135, 10.3135 Å; angles 36.88, 36.88, 36.88 degrees
Element x y z (fractional)
Sr 0.0000 0.0000 0.0000
Ag 0.2519 0.2519 0.2519
Ag 0.7481 0.7481 0.7481
P 0.4254 0.4254 0.4254
P 0.5746 0.5746 0.5746
S 0.1250 0.3715 0.7251
S 0.2749 0.6285 0.8750
S 0.3715 0.7251 0.1250
S 0.5000 0.5000 0.5000
S 0.6285 0.8750 0.2749
S 0.7251 0.1250 0.3715
S 0.8750 0.2749 0.6285

---

Entry 13:
For Ag2SbP2, the GGA-PBE geometry in Alexandria gives the simulated XRD peak list in this record (Cu Kα (weighted mean of Kα1 and Kα2)).

Main lines, low angle first (15° ≤ 2θ ≤ 90°):
2θ (°), Rel. int.
25.15, 50
31.97, 22
33.25, 92
35.86, 100
38.79, 97
41.10, 30
51.12, 23
55.19, 47
72.11, 24
76.73, 25

Atomic structure:
Cell lengths 7.9180, 7.9180, 3.0737 Å; angles 90.00, 90.00, 90.00 degrees
Element x y z (fractional)
Ag 0.1247 0.3753 0.0000
Ag 0.3753 0.8753 0.0000
Ag 0.6247 0.1247 0.0000
Ag 0.8753 0.6247 0.0000
Sb 0.0000 0.0000 0.5000
Sb 0.5000 0.5000 0.5000
P 0.1807 0.6807 0.5000
P 0.3193 0.1807 0.5000
P 0.6807 0.8193 0.5000
P 0.8193 0.3193 0.5000